Computed X-ray powder pattern of Tl5Sn4Sb4 for Cu Kα, from a crystal structure in Alexandria, relaxed with GGA-PBE.
Kinematic intensities with the Lorentz-polarization factor, no thermal factor.

Structural model:
```
Tl5Sn4Sb4
1.0
-6.265 6.265 2.592
6.265 -6.265 2.592
6.265 6.265 -2.592
Tl Sn Sb
5 4 4
Direct
0.000 0.000 0.000
0.314 0.605 0.919
0.395 0.314 0.709
0.605 0.686 0.291
0.686 0.395 0.081
0.097 0.413 0.510
0.413 0.903 0.317
0.587 0.097 0.683
0.903 0.587 0.490
0.086 0.743 0.829
0.257 0.086 0.343
0.743 0.914 0.657
0.914 0.257 0.171
```

The 10 most intense peaks (10 to 80 degrees two-theta), by angle:
| 2theta | intensity |
| --- | --- |
| 27.42 | 30.6 |
| 30.98 | 100.0 |
| 31.94 | 29.3 |
| 34.20 | 36.7 |
| 34.60 | 33.1 |
| 36.57 | 13.9 |
| 47.80 | 19.3 |
| 56.32 | 13.8 |
| 59.76 | 15.8 |
| 60.40 | 15.9 |